Record 1
Theoretical XRD peak list
Compound: Al2S3O12
Radiation: CuKα
Structure: a GGA-PBE-relaxed structure
No peak broadening, texture or thermal motion is included.

Top 12 peaks for 15 to 90 degrees two-theta, sorted by position:
- (1 0 4), 20.69°, d = 4.293 Å, I 15
- (0 0 6), 24.68°, d = 3.608 Å, I 13
- (2 -1 3), 25.12°, d = 3.545 Å, I 100
- (0 2 4), 30.26°, d = 2.954 Å, I 20
- (1 1 6), 33.18°, d = 2.700 Å, I 18
- (3 -1 1), 33.89°, d = 2.645 Å, I 12
- (3 0 3), 40.36°, d = 2.235 Å, I 5
- (1 1 9), 43.72°, d = 2.071 Å, I 7
- (2 2 6), 51.56°, d = 1.773 Å, I 6
- (2 1 10), 54.62°, d = 1.680 Å, I 6
- (4 -3 7), 55.61°, d = 1.653 Å, I 5
- (4 -3 10), 64.18°, d = 1.451 Å, I 5

a = 8.1413 Å, b = 8.1413 Å, c = 21.6470 Å
α = 90.00°, β = 90.00°, γ = 120.00°
Space group R-3 (No. 148, hexagonal axes)
One atom of each set of equivalent atoms:
1 Al 0.0000 0.0000 0.1442 x6
2 Al 0.0000 0.0000 0.3517 x6
3 S 0.0017 0.2888 0.7496 x18
4 O 0.0158 0.1916 0.0909 x18
5 O 0.0169 0.8157 0.1927 x18
6 O 0.0680 0.2147 0.4025 x18
7 O 0.0691 0.2170 0.6982 x18

=====

Record 2
Theoretical XRD peak list
Compound: Sm10Dy4Y
Radiation: CuKα
Structure: a GGA-PBE-relaxed structure
No peak broadening, texture or thermal motion is included.

Top 12 peaks for 15 to 90 degrees two-theta, sorted by position:
- (1 2 1), 19.79°, d = 4.486 Å, I 25
- (3 1 0), 22.89°, d = 3.885 Å, I 15
- (3 1 2), 32.60°, d = 2.747 Å, I 100
- (5 0 1), 38.43°, d = 2.343 Å, I 14
- (2 4 2), 40.21°, d = 2.243 Å, I 4
- (6 2 0), 46.73°, d = 1.944 Å, I 12
- (0 0 4), 46.84°, d = 1.940 Å, I 6
- (5 0 3), 51.25°, d = 1.783 Å, I 6
- (5 5 2), 58.17°, d = 1.586 Å, I 38
- (6 2 4), 68.29°, d = 1.374 Å, I 12
- (10 0 0), 77.68°, d = 1.229 Å, I 11
- (3 1 6), 77.85°, d = 1.227 Å, I 5

a = 12.294 Å, b = 12.294 Å, c = 7.758 Å
α = 90.00°, β = 90.00°, γ = 90.00°
Space group I4/m (No. 87)
One atom of each set of equivalent atoms:
1 Sm 0.000 0.500 0.250 x4
2 Sm 0.100 0.201 0.249 x16
3 Dy 0.100 0.700 0.000 x8
4 Y 0.000 0.000 0.500 x2

=====

Record 3
Theoretical XRD peak list
Compound: Pm2Ag3Au
Radiation: CuKα
Structure: a GGA-PBE-relaxed structure
No peak broadening, texture or thermal motion is included.

Top 12 peaks for 15 to 90 degrees two-theta, sorted by position:
- (1 1 1), 33.06°, d = 2.710 Å, I 100
- (1 0 2), 33.24°, d = 2.695 Å, I 51
- (0 2 0), 37.32°, d = 2.409 Å, I 39
- (0 1 3), 37.83°, d = 2.378 Å, I 74
- (1 2 2), 50.83°, d = 1.796 Å, I 30
- (2 0 0), 51.10°, d = 1.787 Å, I 16
- (1 0 4), 51.36°, d = 1.779 Å, I 13
- (1 3 1), 64.62°, d = 1.442 Å, I 14
- (2 2 0), 64.96°, d = 1.436 Å, I 15
- (2 1 3), 65.30°, d = 1.429 Å, I 29
- (1 1 5), 65.53°, d = 1.425 Å, I 14
- (0 3 3), 67.64°, d = 1.385 Å, I 13

a = 3.575 Å, b = 4.819 Å, c = 8.204 Å
α = 90.00°, β = 90.00°, γ = 90.00°
Space group Pmm2 (No. 25)
One atom of each set of equivalent atoms:
1 Pm 0.000 0.000 0.000 x1
2 Pm 0.000 0.500 0.479 x1
3 Ag 0.500 0.000 0.660 x1
4 Ag 0.500 0.500 0.152 x1
5 Ag 0.500 0.500 0.819 x1
6 Au 0.500 0.000 0.322 x1

=====

Record 4
Theoretical XRD peak list
Compound: Pr2ThTe2As2
Radiation: CuKα
Structure: a GGA-PBE-relaxed structure
No peak broadening, texture or thermal motion is included.

Top 12 peaks for 15 to 90 degrees two-theta, sorted by position:
- (1 1 0), 22.64°, d = 3.928 Å, I 85
- (1 0 3), 23.18°, d = 3.837 Å, I 11
- (2 0 0), 32.23°, d = 2.777 Å, I 81
- (1 0 5), 32.41°, d = 2.763 Å, I 100
- (2 2 0), 46.23°, d = 1.964 Å, I 30
- (2 1 5), 46.36°, d = 1.959 Å, I 74
- (2 0 6), 47.38°, d = 1.919 Å, I 11
- (3 1 0), 52.06°, d = 1.757 Å, I 18
- (3 0 5), 57.58°, d = 1.601 Å, I 20
- (3 2 5), 67.54°, d = 1.387 Å, I 24
- (2 0 10), 67.85°, d = 1.381 Å, I 14
- (4 2 0), 76.78°, d = 1.241 Å, I 30

a = 5.555 Å, b = 5.555 Å, c = 15.922 Å
α = 90.00°, β = 90.00°, γ = 90.00°
Space group I4/mmm (No. 139)
One atom of each set of equivalent atoms:
1 Pr 0.000 0.000 0.114 x4
2 Th 0.000 0.000 0.500 x2
3 Te 0.000 0.000 0.307 x4
4 As 0.000 0.500 0.000 x4

=====

Record 5
Theoretical XRD peak list
Compound: Ac6Hg2Ru
Radiation: CuKα
Structure: a GGA-PBE-relaxed structure
No peak broadening, texture or thermal motion is included.

Top 12 peaks for 15 to 90 degrees two-theta, sorted by position:
- (2 1 -2), 25.92°, d = 3.437 Å, I 23
- (1 0 2), 26.11°, d = 3.413 Å, I 49
- (1 0 -4), 26.87°, d = 3.318 Å, I 100
- (0 2 2), 27.23°, d = 3.275 Å, I 79
- (2 1 -3), 27.39°, d = 3.257 Å, I 25
- (1 2 1), 29.46°, d = 3.032 Å, I 27
- (2 1 0), 29.97°, d = 2.982 Å, I 34
- (0 0 4), 31.79°, d = 2.815 Å, I 32
- (2 2 -2), 32.39°, d = 2.764 Å, I 29
- (0 2 3), 32.62°, d = 2.745 Å, I 27
- (2 1 3), 47.53°, d = 1.913 Å, I 27
- (0 0 6), 48.53°, d = 1.876 Å, I 27

a = 7.607 Å, b = 8.052 Å, c = 13.356 Å
α = 90.00°, β = 122.53°, γ = 90.00°
Space group P2_1/c (No. 14)
One atom of each set of equivalent atoms:
1 Ac 0.127 0.020 0.248 x4
2 Ac 0.241 0.694 0.056 x4
3 Ac 0.359 0.195 0.054 x4
4 Hg 0.305 0.092 0.761 x4
5 Ru 0.000 0.000 0.000 x2

=====

Record 6
Theoretical XRD peak list
Compound: Na2ZnGe4Pt3
Radiation: CuKα
Structure: a GGA-PBE-relaxed structure
No peak broadening, texture or thermal motion is included.

Top 12 peaks for 15 to 90 degrees two-theta, sorted by position:
- (0 0 2), 17.22°, d = 5.150 Å, I 42
- (1 0 1), 22.24°, d = 3.998 Å, I 100
- (1 0 2), 26.87°, d = 3.318 Å, I 34
- (1 1 1), 30.41°, d = 2.940 Å, I 27
- (1 0 3), 33.28°, d = 2.692 Å, I 50
- (1 1 2), 34.02°, d = 2.635 Å, I 64
- (2 0 0), 41.64°, d = 2.169 Å, I 77
- (1 1 4), 46.02°, d = 1.972 Å, I 94
- (2 1 1), 47.71°, d = 1.906 Å, I 27
- (2 1 3), 54.32°, d = 1.689 Å, I 25
- (2 2 0), 60.36°, d = 1.534 Å, I 26
- (3 1 4), 79.11°, d = 1.211 Å, I 39

a = 4.338 Å, b = 4.338 Å, c = 10.300 Å
α = 90.00°, β = 90.00°, γ = 90.00°
Space group P-4m2 (No. 115)
One atom of each set of equivalent atoms:
1 Na 0.000 0.500 0.247 x2
2 Zn 0.500 0.500 0.000 x1
3 Ge 0.000 0.000 0.500 x1
4 Ge 0.000 0.500 0.868 x2
5 Ge 0.500 0.500 0.500 x1
6 Pt 0.000 0.000 0.000 x1
7 Pt 0.000 0.500 0.627 x2

=====

Record 7
Theoretical XRD peak list
Compound: TbNd6Al2
Radiation: CuKα
Structure: a GGA-PBE-relaxed structure
No peak broadening, texture or thermal motion is included.

Top 12 peaks for 15 to 90 degrees two-theta, sorted by position:
- (1 1 -1), 25.04°, d = 3.557 Å, I 24
- (4 0 -1), 27.62°, d = 3.230 Å, I 19
- (2 0 -4), 29.96°, d = 2.982 Å, I 21
- (4 0 -3), 30.92°, d = 2.892 Å, I 47
- (2 0 3), 31.66°, d = 2.826 Å, I 46
- (3 1 0), 32.24°, d = 2.777 Å, I 100
- (1 1 -3), 32.46°, d = 2.758 Å, I 99
- (5 1 -4), 46.78°, d = 1.942 Å, I 20
- (0 2 0), 47.93°, d = 1.898 Å, I 20
- (5 1 -6), 56.11°, d = 1.639 Å, I 18
- (4 2 -3), 58.13°, d = 1.587 Å, I 19
- (2 2 3), 58.58°, d = 1.576 Å, I 16

a = 12.949 Å, b = 3.796 Å, c = 12.047 Å
α = 90.00°, β = 109.39°, γ = 90.00°
Space group C2/m (No. 12)
One atom of each set of equivalent atoms:
1 Tb 0.000 0.000 0.000 x2
2 Nd 0.026 0.000 0.325 x4
3 Nd 0.185 0.500 0.876 x4
4 Nd 0.189 0.500 0.592 x4
5 Al 0.148 0.500 0.196 x4

=====

Record 8
Theoretical XRD peak list
Compound: Mg4CN4
Radiation: CuKα
Structure: a GGA-PBE-relaxed structure
No peak broadening, texture or thermal motion is included.

Top 12 peaks for 15 to 90 degrees two-theta, sorted by position:
- (1 1 1), 30.09°, d = 2.970 Å, I 27
- (4 0 0), 35.09°, d = 2.557 Å, I 22
- (0 1 3), 35.25°, d = 2.546 Å, I 21
- (2 1 2), 36.03°, d = 2.493 Å, I 97
- (2 0 5), 39.90°, d = 2.260 Å, I 100
- (3 1 2), 41.25°, d = 2.189 Å, I 68
- (3 1 3), 44.41°, d = 2.040 Å, I 49
- (4 1 3), 50.59°, d = 1.804 Å, I 21
- (0 2 0), 57.56°, d = 1.601 Å, I 36
- (5 1 3), 57.82°, d = 1.595 Å, I 23
- (0 1 7), 58.87°, d = 1.569 Å, I 21
- (2 2 5), 72.34°, d = 1.306 Å, I 36

a = 10.229 Å, b = 3.202 Å, c = 12.594 Å
α = 90.00°, β = 90.00°, γ = 90.00°
Space group Pnma (No. 62)
One atom of each set of equivalent atoms:
1 Mg 0.106 0.250 0.049 x4
2 Mg 0.117 0.750 0.237 x4
3 Mg 0.136 0.750 0.840 x4
4 Mg 0.145 0.250 0.637 x4
5 C 0.118 0.250 0.425 x4
6 N 0.018 0.250 0.369 x4
7 N 0.019 0.250 0.888 x4
8 N 0.221 0.250 0.477 x4
9 N 0.244 0.250 0.202 x4

=====

Record 9
Theoretical XRD peak list
Compound: Y7IrSe5
Radiation: CuKα
Structure: a GGA-PBE-relaxed structure
No peak broadening, texture or thermal motion is included.

Top 12 peaks for 15 to 90 degrees two-theta, sorted by position:
- (0 2 7), 28.80°, d = 3.100 Å, I 52
- (1 3 1), 30.29°, d = 2.951 Å, I 19
- (1 3 2), 30.96°, d = 2.888 Å, I 100
- (1 3 3), 32.05°, d = 2.793 Å, I 63
- (0 2 8), 32.17°, d = 2.782 Å, I 28
- (1 1 9), 40.82°, d = 2.210 Å, I 46
- (1 5 4), 43.21°, d = 2.094 Å, I 18
- (0 6 5), 44.41°, d = 2.040 Å, I 29
- (1 5 5), 44.69°, d = 2.028 Å, I 25
- (2 0 0), 45.75°, d = 1.983 Å, I 33
- (2 2 7), 54.97°, d = 1.671 Å, I 17
- (2 6 5), 65.66°, d = 1.422 Å, I 18

a = 3.966 Å, b = 13.470 Å, c = 24.441 Å
α = 90.00°, β = 90.00°, γ = 90.00°
Space group Cmc2_1 (No. 36)
One atom of each set of equivalent atoms:
1 Y 0.000 0.046 0.000 x4
2 Y 0.000 0.131 0.717 x4
3 Y 0.000 0.148 0.291 x4
4 Y 0.000 0.288 0.934 x4
5 Y 0.000 0.307 0.069 x4
6 Y 0.000 0.394 0.625 x4
7 Y 0.000 0.423 0.362 x4
8 Ir 0.000 0.307 0.512 x4
9 Se 0.000 0.047 0.610 x4
10 Se 0.000 0.064 0.397 x4
11 Se 0.000 0.212 0.824 x4
12 Se 0.000 0.230 0.180 x4
13 Se 0.000 0.488 0.749 x4

=====

Record 10
Theoretical XRD peak list
Compound: MgAsBr3
Radiation: CuKα
Structure: a GGA-PBE-relaxed structure
No peak broadening, texture or thermal motion is included.

Top 12 peaks for 15 to 90 degrees two-theta, sorted by position:
- (1 0 0), 16.85°, d = 5.262 Å, I 3
- (1 1 0), 23.91°, d = 3.721 Å, I 1
- (1 1 1), 29.40°, d = 3.038 Å, I 100
- (2 0 0), 34.08°, d = 2.631 Å, I 69
- (2 1 0), 38.24°, d = 2.353 Å, I 1
- (2 2 0), 48.96°, d = 1.860 Å, I 48
- (3 0 0), 52.14°, d = 1.754 Å, I 1
- (3 1 1), 58.14°, d = 1.587 Å, I 42
- (2 2 2), 60.99°, d = 1.519 Å, I 16
- (4 0 0), 71.75°, d = 1.316 Å, I 8
- (3 3 1), 79.37°, d = 1.207 Å, I 17
- (4 2 0), 81.87°, d = 1.177 Å, I 22

a = 5.262 Å, b = 5.262 Å, c = 5.262 Å
α = 90.00°, β = 90.00°, γ = 90.00°
Space group Pm-3m (No. 221)
One atom of each set of equivalent atoms:
1 Mg 0.000 0.000 0.000 x1
2 As 0.500 0.500 0.500 x1
3 Br 0.000 0.000 0.500 x3

=====

Record 11
Theoretical XRD peak list
Compound: BaLi2LaPb2
Radiation: CuKα
Structure: a GGA-PBE-relaxed structure
No peak broadening, texture or thermal motion is included.

Top 12 peaks for 15 to 90 degrees two-theta, sorted by position:
- (0 1 1), 22.90°, d = 3.883 Å, I 90
- (1 0 2), 29.43°, d = 3.035 Å, I 100
- (1 1 0), 35.53°, d = 2.526 Å, I 62
- (0 1 3), 38.08°, d = 2.363 Å, I 19
- (2 0 1), 42.70°, d = 2.118 Å, I 18
- (0 2 2), 46.79°, d = 1.942 Å, I 28
- (0 1 4), 47.94°, d = 1.898 Å, I 13
- (1 2 1), 56.72°, d = 1.623 Å, I 16
- (1 1 4), 56.92°, d = 1.618 Å, I 15
- (2 1 2), 60.10°, d = 1.539 Å, I 27
- (3 0 0), 63.81°, d = 1.459 Å, I 12
- (1 3 2), 82.76°, d = 1.166 Å, I 11

a = 5.0527 Å, b = 5.0527 Å, c = 8.4236 Å
α = 90.00°, β = 90.00°, γ = 120.00°
Space group P-3m1 (No. 164)
One atom of each set of equivalent atoms:
1 Ba 0.0000 0.0000 0.0000 x1
2 Li 0.3333 0.6667 0.6915 x2
3 La 0.0000 0.0000 0.5000 x1
4 Pb 0.3333 0.6667 0.2918 x2

=====

Record 12
Theoretical XRD peak list
Compound: HfMn8Nb3
Radiation: CuKα
Structure: a GGA-PBE-relaxed structure
No peak broadening, texture or thermal motion is included.

Top 12 peaks for 15 to 90 degrees two-theta, sorted by position:
- (1 0 0), 21.19°, d = 4.193 Å, I 11
- (0 1 1), 23.98°, d = 3.711 Å, I 13
- (0 1 2), 30.95°, d = 2.889 Å, I 13
- (1 1 0), 37.14°, d = 2.421 Å, I 57
- (0 1 3), 40.17°, d = 2.245 Å, I 97
- (2 0 0), 43.15°, d = 2.097 Å, I 15
- (1 1 2), 43.75°, d = 2.069 Å, I 100
- (2 0 1), 44.69°, d = 2.028 Å, I 63
- (1 2 3), 68.99°, d = 1.361 Å, I 35
- (0 3 2), 71.53°, d = 1.319 Å, I 22
- (0 2 5), 74.80°, d = 1.269 Å, I 27
- (2 2 0), 79.12°, d = 1.210 Å, I 22

a = 4.8419 Å, b = 4.8419 Å, c = 7.9735 Å
α = 90.00°, β = 90.00°, γ = 120.00°
Space group P3m1 (No. 156)
One atom of each set of equivalent atoms:
1 Hf 0.0000 0.0000 0.0000 x1
2 Mn 0.1626 0.3252 0.6855 x3
3 Mn 0.3333 0.6667 0.4394 x1
4 Mn 0.3333 0.6667 0.9373 x1
5 Mn 0.5045 0.0090 0.1894 x3
6 Nb 0.0000 0.0000 0.3751 x1
7 Nb 0.6667 0.3333 0.4999 x1
8 Nb 0.6667 0.3333 0.8708 x1